Theoretical PXRD pattern
Compound: KMg15
Radiation: Cu Kα, 1.54184 Å
Structure: DFT lattice parameters and positions (GGA-PBE)
Kinematic intensities with the Lorentz-polarization factor, no thermal factor.

Largest 10 diffraction maxima, by intensity, 2θ = 10–90°:
2θ (°)  d/Å  Rel. int.
35.93  2.500  100
33.53  2.673  27
31.64  2.828  24
67.19  1.393  19
61.51  1.508  18
56.35  1.633  17
46.77  1.942  15
68.66  1.367  13
88.22  1.108  6
76.17  1.250  3

Structural model:
Unit cell a=6.531 b=6.531 c=10.691 alpha=90.00 beta=90.00 gamma=120.00
Atoms (fractional coordinates):
K: 0.000 0.000 0.000
Mg: 0.000 0.000 0.500
Mg: 0.006 0.503 0.500
Mg: 0.333 0.667 0.242
Mg: 0.333 0.667 0.758
Mg: 0.341 0.171 0.260
Mg: 0.341 0.171 0.740
Mg: 0.497 0.503 0.500
Mg: 0.497 0.994 0.500
Mg: 0.504 0.009 0.000
Mg: 0.504 0.496 0.000
Mg: 0.829 0.171 0.260
Mg: 0.829 0.171 0.740
Mg: 0.829 0.659 0.260
Mg: 0.829 0.659 0.740
Mg: 0.991 0.496 0.000